Starting from the GGA-PBE geometry in Alexandria, the powder XRD pattern of V5P2N was calculated for copper Kα.
Neutral-atom scattering factors, no anomalous dispersion.

a b c (Å): 6.5169 9.1953 3.1136
angles (deg): 90.00 90.00 90.00
Element x y z (fractional)
1 V 0.0000 0.0000 0.0000
2 V 0.1335 0.3070 0.0000
3 V 0.1863 0.5649 0.5000
4 V 0.3137 0.0649 0.5000
5 V 0.3665 0.8070 0.0000
6 V 0.5000 0.5000 0.0000
7 V 0.6335 0.1930 0.0000
8 V 0.6863 0.9351 0.5000
9 V 0.8137 0.4351 0.5000
10 V 0.8665 0.6930 0.0000
11 P 0.0837 0.8213 0.5000
12 P 0.4163 0.3213 0.5000
13 P 0.5837 0.6787 0.5000
14 P 0.9163 0.1787 0.5000
15 N 0.0000 0.5000 0.0000
16 N 0.5000 0.0000 0.0000

Largest 10 diffraction maxima, by angle, 2θ = 15–90°:
Position (°2θ), I_rel
37.52, 398
40.05, 163
40.40, 198
41.29, 1000
41.66, 650
42.77, 358
43.71, 755
44.83, 507
59.37, 281
75.13, 195